Entry 1:
The following is a computed X-ray diffraction stick pattern of KFePbOF6. It was derived from a cell relaxed with GGA+U, using Cu Kα X-rays.

Most intense lines, 2θ from 10° to 80°, low angle first:
hkl 1 -1 0, d 4.138, 2θ 21.47, intensity 100
hkl 1 1 0, d 4.101, 2θ 21.67, intensity 53
hkl 1 1 -1, d 3.523, 2θ 25.28, intensity 54
hkl 1 1 2, d 3.267, 2θ 27.30, intensity 66
hkl 2 0 0, d 2.913, 2θ 30.69, intensity 56
hkl 2 -2 0, d 2.069, 2θ 43.76, intensity 55

Atomic structure:
```
data_KFePbOF6
_cell_length_a 5.851
_cell_length_b 5.874
_cell_length_c 8.969
_cell_angle_alpha 82.21
_cell_angle_beta 85.43
_cell_angle_gamma 89.89
_symmetry_space_group_name_H-M 'P -1'
_symmetry_Int_Tables_number 2
_symmetry_space_group_name_Hall '-P 1'
loop_
_atom_site_label
_atom_site_type_symbol
_atom_site_fract_x
_atom_site_fract_y
_atom_site_fract_z
K1 K 0.240 0.247 0.004
Fe1 Fe 0.230 0.703 0.236
Pb1 Pb 0.299 0.808 0.667
O1 O 0.361 0.110 0.478
F1 F 0.004 0.952 0.248
F2 F 0.018 0.533 0.769
F3 F 0.216 0.753 0.017
F4 F 0.236 0.631 0.452
F5 F 0.468 0.467 0.201
F6 F 0.479 0.934 0.203
```



Entry 2:
The following is a computed X-ray diffraction stick pattern of VOF. It was derived from a cell relaxed with GGA+U, using Cu Kα X-rays.

Most intense lines, 2θ from 10° to 80°, low angle first:
hkl 1 0 -4, d 3.430, 2θ 25.98, intensity 100
hkl 1 0 4, d 3.280, 2θ 27.19, intensity 97
hkl 0 1 4, d 2.596, 2θ 34.56, intensity 97
hkl 1 1 -4, d 2.301, 2θ 39.16, intensity 25
hkl 1 1 -8, d 1.772, 2θ 51.57, intensity 62
hkl 1 1 8, d 1.729, 2θ 52.97, intensity 28

Atomic structure:
```
data_VOF
_cell_length_a 4.750
_cell_length_b 3.102
_cell_length_c 18.966
_cell_angle_alpha 90.00
_cell_angle_beta 92.57
_cell_angle_gamma 90.00
_symmetry_space_group_name_H-M 'P 1 2/m 1'
_symmetry_Int_Tables_number 10
_symmetry_space_group_name_Hall '-P 2y'
loop_
_atom_site_label
_atom_site_type_symbol
_atom_site_fract_x
_atom_site_fract_y
_atom_site_fract_z
V1 V 0.000 0.000 0.000
V2 V 0.000 0.000 0.500
V3 V 0.032 0.000 0.250
V4 V 0.427 0.500 0.875
V5 V 0.486 0.500 0.625
O1 O 0.186 0.500 0.952
O2 O 0.262 0.000 0.824
O3 O 0.293 0.000 0.575
O4 O 0.320 0.000 0.325
F1 F 0.172 0.500 0.701
F2 F 0.199 0.500 0.451
F3 F 0.230 0.500 0.200
F4 F 0.321 0.000 0.079
```



Entry 3:
The following is a computed X-ray diffraction stick pattern of Sr2GdWO6. It was derived from a cell relaxed with GGA+U, using Cu Kα X-rays.

Most intense lines, 2θ from 10° to 80°, low angle first:
hkl 2 0 0, d 4.207, 2θ 21.12, intensity 18
hkl 2 2 0, d 2.975, 2θ 30.04, intensity 100
hkl 4 0 0, d 2.103, 2θ 43.00, intensity 27
hkl 4 2 2, d 1.717, 2θ 53.34, intensity 44
hkl 4 4 0, d 1.487, 2θ 62.44, intensity 16
hkl 6 2 0, d 1.330, 2θ 70.83, intensity 18

Atomic structure:
```
data_Sr2GdWO6
_cell_length_a 8.414
_cell_length_b 8.414
_cell_length_c 8.414
_cell_angle_alpha 90.00
_cell_angle_beta 90.00
_cell_angle_gamma 90.00
_symmetry_space_group_name_H-M 'P n -3'
_symmetry_Int_Tables_number 201
loop_
_symmetry_equiv_pos_as_xyz
'x,y,z'
'-x,-y,-z'
'-x+1/2,-y+1/2,z'
'x+1/2,y+1/2,-z'
'x,-y+1/2,-z+1/2'
'-x,y+1/2,z+1/2'
'-x+1/2,y,-z+1/2'
'x+1/2,-y,z+1/2'
'z,x,y'
'-z,-x,-y'
'z,-x+1/2,-y+1/2'
'-z,x+1/2,y+1/2'
'-z+1/2,x,-y+1/2'
'z+1/2,-x,y+1/2'
'-z+1/2,-x+1/2,y'
'z+1/2,x+1/2,-y'
'y,z,x'
'-y,-z,-x'
'-y+1/2,z,-x+1/2'
'y+1/2,-z,x+1/2'
'-y+1/2,-z+1/2,x'
'y+1/2,z+1/2,-x'
'y,-z+1/2,-x+1/2'
'-y,z+1/2,x+1/2'
loop_
_atom_site_label
_atom_site_type_symbol
_atom_site_fract_x
_atom_site_fract_y
_atom_site_fract_z
Sr1 Sr 0.250 0.250 0.250
Sr2 Sr 0.250 0.250 0.750
Gd1 Gd 0.000 0.000 0.000
W1 W 0.000 0.000 0.500
O1 O 0.035 0.537 0.766
```



Entry 4:
The following is a computed X-ray diffraction stick pattern of Li3Fe8B8O24. It was derived from a cell relaxed with GGA+U, using Cu Kα X-rays.

Most intense lines, 2θ from 10° to 80°, low angle first:
hkl 1 -1 0, d 4.521, 2θ 19.63, intensity 85
hkl 1 1 -1, d 4.158, 2θ 21.37, intensity 54
hkl 0 2 -1, d 4.143, 2θ 21.45, intensity 74
hkl 1 1 -2, d 3.377, 2θ 26.39, intensity 56
hkl 0 0 4, d 2.534, 2θ 35.42, intensity 100
hkl 1 1 -5, d 1.846, 2θ 49.38, intensity 45

Atomic structure:
```
data_Li3Fe8B8O24
_cell_length_a 5.257
_cell_length_b 9.124
_cell_length_c 10.139
_cell_angle_alpha 89.50
_cell_angle_beta 89.34
_cell_angle_gamma 89.03
_symmetry_space_group_name_H-M 'P 1'
_symmetry_Int_Tables_number 1
_symmetry_space_group_name_Hall 'P 1'
loop_
_atom_site_label
_atom_site_type_symbol
_atom_site_fract_x
_atom_site_fract_y
_atom_site_fract_z
Li1 Li 0.000 0.000 0.000
Li2 Li 0.140 0.164 0.269
Li3 Li 0.477 0.504 0.514
Fe1 Fe 0.000 0.335 0.985
Fe2 Fe 0.146 0.501 0.236
Fe3 Fe 0.148 0.830 0.726
Fe4 Fe 0.481 0.165 0.492
Fe5 Fe 0.491 0.826 0.980
Fe6 Fe 0.648 0.984 0.241
Fe7 Fe 0.651 0.323 0.741
Fe8 Fe 0.972 0.680 0.487
B1 B 0.142 0.496 0.731
B2 B 0.157 0.832 0.229
B3 B 0.477 0.826 0.485
B4 B 0.491 0.154 0.987
B5 B 0.647 0.997 0.741
B6 B 0.648 0.325 0.236
B7 B 0.986 0.336 0.479
B8 B 0.988 0.668 0.990
O1 O 0.010 0.960 0.218
O2 O 0.037 0.632 0.699
O3 O 0.059 0.705 0.280
O4 O 0.099 0.469 0.439
O5 O 0.109 0.544 0.041
O6 O 0.117 0.208 0.461
O7 O 0.132 0.789 0.946
O8 O 0.230 0.841 0.536
O9 O 0.233 0.159 0.002
O10 O 0.395 0.468 0.707
O11 O 0.409 0.836 0.183
O12 O 0.486 0.886 0.786
O13 O 0.493 0.444 0.238
O14 O 0.538 0.127 0.695
O15 O 0.546 0.187 0.268
O16 O 0.585 0.953 0.430
O17 O 0.602 0.696 0.486
O18 O 0.630 0.025 0.026
O19 O 0.632 0.269 0.936
O20 O 0.731 0.678 0.984
O21 O 0.737 0.341 0.531
O22 O 0.903 0.979 0.749
O23 O 0.910 0.332 0.207
O24 O 0.987 0.388 0.783
```



Entry 5:
The following is a computed X-ray diffraction stick pattern of Li9Mn2Co5O16. It was derived from a cell relaxed with GGA+U, using Cu Kα X-rays.

Most intense lines, 2θ from 10° to 80°, low angle first:
hkl 0 0 2, d 4.827, 2θ 18.38, intensity 100
hkl 1 -2 1, d 2.570, 2θ 34.91, intensity 18
hkl 0 4 -1, d 2.496, 2θ 35.99, intensity 13
hkl 1 -2 3, d 2.150, 2θ 42.03, intensity 32
hkl 0 4 1, d 2.066, 2θ 43.81, intensity 28
hkl 1 2 -4, d 2.034, 2θ 44.54, intensity 26

Atomic structure:
```
data_Li9Mn2Co5O16
_cell_length_a 2.949
_cell_length_b 10.166
_cell_length_c 10.632
_cell_angle_alpha 113.94
_cell_angle_beta 94.99
_cell_angle_gamma 92.33
_symmetry_space_group_name_H-M 'P 1'
_symmetry_Int_Tables_number 1
_symmetry_space_group_name_Hall 'P 1'
loop_
_atom_site_label
_atom_site_type_symbol
_atom_site_fract_x
_atom_site_fract_y
_atom_site_fract_z
Li1 Li 0.000 0.000 0.000
Li2 Li 0.004 0.505 0.002
Li3 Li 0.137 0.442 0.259
Li4 Li 0.229 0.381 0.493
Li5 Li 0.242 0.873 0.496
Li6 Li 0.489 0.259 0.005
Li7 Li 0.498 0.752 0.001
Li8 Li 0.737 0.618 0.489
Li9 Li 0.749 0.126 0.503
Mn1 Mn 0.614 0.195 0.251
Mn2 Mn 0.872 0.064 0.750
Co1 Co 0.108 0.936 0.247
Co2 Co 0.364 0.314 0.748
Co3 Co 0.373 0.814 0.751
Co4 Co 0.623 0.678 0.247
Co5 Co 0.868 0.564 0.749
O1 O 0.045 0.729 0.137
O2 O 0.081 0.216 0.140
O3 O 0.144 0.149 0.355
O4 O 0.213 0.663 0.365
O5 O 0.273 0.097 0.628
O6 O 0.300 0.597 0.634
O7 O 0.435 0.532 0.864
O8 O 0.470 0.031 0.870
O9 O 0.521 0.977 0.137
O10 O 0.562 0.496 0.135
O11 O 0.682 0.388 0.367
O12 O 0.700 0.894 0.357
O13 O 0.802 0.345 0.635
O14 O 0.807 0.850 0.636
O15 O 0.936 0.781 0.866
O16 O 0.941 0.279 0.867
```



Entry 6:
The following is a computed X-ray diffraction stick pattern of RbFeAgF6. It was derived from a cell relaxed with GGA+U, using Cu Kα X-rays.

Most intense lines, 2θ from 10° to 80°, low angle first:
hkl 0 1 1, d 6.251, 2θ 14.17, intensity 33
hkl 1 2 1, d 3.265, 2θ 27.32, intensity 52
hkl 0 1 3, d 3.225, 2θ 27.66, intensity 38
hkl 2 1 1, d 3.206, 2θ 27.83, intensity 100
hkl 0 2 2, d 3.126, 2θ 28.56, intensity 41
hkl 2 2 4, d 1.890, 2θ 48.14, intensity 43

Atomic structure:
```
data_RbFeAgF6
_cell_length_a 7.468
_cell_length_b 7.722
_cell_length_c 10.648
_cell_angle_alpha 90.00
_cell_angle_beta 90.00
_cell_angle_gamma 90.00
_symmetry_space_group_name_H-M 'P n m a'
_symmetry_Int_Tables_number 62
_symmetry_space_group_name_Hall '-P 2ac 2n'
loop_
_atom_site_label
_atom_site_type_symbol
_atom_site_fract_x
_atom_site_fract_y
_atom_site_fract_z
Rb1 Rb 0.017 0.250 0.134
Fe1 Fe 0.000 0.000 0.500
Ag1 Ag 0.211 0.250 0.752
F1 F 0.040 0.750 0.168
F2 F 0.052 0.250 0.492
F3 F 0.142 0.516 0.656
F4 F 0.217 0.538 0.404
```



- Which formula does entry 4 have?
  Li3Fe8B8O24